Cs4Sb2Te5: computed powder diffractogram (Cu Kα (λ = 1.5418 Å)), based on a cell relaxed with PBE.

Structure:
abc: 12.6082 23.4254 6.5871
angles: 90.00 90.00 90.00
Space group Ibam (No. 72)
Inequivalent atoms, fractional coordinates:
Cs: 0.1241 0.1527 0.0000 (multiplicity 8)
Cs: 0.2282 0.4353 0.0000 (multiplicity 8)
Sb: 0.0000 0.3140 0.2500 (multiplicity 8)
Te: 0.0000 0.0000 0.2500 (multiplicity 4)
Te: 0.0940 0.4130 0.5000 (multiplicity 8)
Te: 0.1450 0.2345 0.5000 (multiplicity 8)

Top 10 peaks for 2θ = 10–90°, sorted by position:
index  Position (°2θ)  I_rel
3 3 0  24.05  81
3 2 1  26.28  100
2 6 0  26.86  33
2 5 1  27.31  76
1 7 0  27.52  77
1 3 2  30.29  76
2 0 2  30.62  41
2 7 1  33.22  39
0 6 2  35.66  40
4 0 2  39.58  36


Th3Sb2As2: computed powder diffractogram (Cu Kα (λ = 1.5418 Å)), based on a cell relaxed with PBE.

Structure:
abc: 9.1764 9.1764 9.1764
angles: 90.00 90.00 90.00
Space group I2_13 (No. 199)
Inequivalent atoms, fractional coordinates:
Th: 0.0000 0.2500 0.8602 (multiplicity 12)
Sb: 0.1646 0.1646 0.1646 (multiplicity 8)
As: 0.0757 0.4243 0.5757 (multiplicity 8)

Top 10 peaks for 2θ = 10–90°, sorted by position:
index  Position (°2θ)  I_rel
2 1 1  23.75  43
3 0 1  30.81  100
3 1 2  36.64  74
4 2 0  44.14  29
3 3 2  46.41  19
4 3 1  50.73  20
5 3 2  62.38  35
6 0 2  64.19  10
5 1 4  65.97  17
7 2 1  76.25  19